1.
# Mn7C3
Theoretical powder diffractogram, λ = 1.5418 Å (Cu Kα). Input: a structure optimized by DFT (PBE).
No peak broadening, texture or thermal motion is included.

Most intense lines, 2θ = 10–80°, by intensity:
43.40 deg, I 100
45.77 deg, I 82
40.61 deg, I 73
45.49 deg, I 71
45.66 deg, I 58
51.41 deg, I 40
47.55 deg, I 34
40.47 deg, I 31
41.21 deg, I 25
43.68 deg, I 20

Crystal structure
```
data_Mn7C3
_cell_length_a 4.460
_cell_length_b 6.811
_cell_length_c 11.701
_cell_angle_alpha 90.00
_cell_angle_beta 90.00
_cell_angle_gamma 90.00
_space_group_name_H-M_alt 'P n m a'
_space_group_IT_number 62
loop_
_space_group_symop_operation_xyz
'x,y,z'
'-x,-y,-z'
'-x+1/2,-y,z+1/2'
'x+1/2,y,-z+1/2'
'x+1/2,-y+1/2,-z+1/2'
'-x+1/2,y+1/2,z+1/2'
'-x,y+1/2,-z'
'x,-y+1/2,z'
loop_
_atom_site_label
_atom_site_type_symbol
_atom_site_fract_x
_atom_site_fract_y
_atom_site_fract_z
Mn1 Mn 0.049 0.064 0.193
Mn2 Mn 0.070 0.250 0.373
Mn3 Mn 0.216 0.750 0.091
Mn4 Mn 0.216 0.750 0.302
Mn5 Mn 0.248 0.067 0.984
C1 C 0.034 0.750 0.937
C2 C 0.046 0.028 0.646
```

***

2.
# Mn10C3N
Theoretical powder diffractogram, λ = 1.5418 Å (Cu Kα). Input: a structure optimized by DFT (PBE).
No peak broadening, texture or thermal motion is included.

Most intense lines, 2θ = 10–80°, by intensity:
42.48 deg, I 100
41.11 deg, I 21
36.95 deg, I 18
66.58 deg, I 17
56.46 deg, I 17
75.86 deg, I 15
78.67 deg, I 2
20.22 deg, I 1

Crystal structure
```
data_Mn10C3N
_cell_length_a 2.8089
_cell_length_b 2.8089
_cell_length_c 21.9552
_cell_angle_alpha 90.00
_cell_angle_beta 90.00
_cell_angle_gamma 120.00
_space_group_name_H-M_alt 'P 3 m 1'
_space_group_IT_number 156
loop_
_space_group_symop_operation_xyz
'x,y,z'
'-y,x-y,z'
'-x+y,-x,z'
'-y,-x,z'
'-x+y,y,z'
'x,x-y,z'
loop_
_atom_site_label
_atom_site_type_symbol
_atom_site_fract_x
_atom_site_fract_y
_atom_site_fract_z
Mn1 Mn 0.0000 0.0000 0.0000
Mn2 Mn 0.0000 0.0000 0.1997
Mn3 Mn 0.0000 0.0000 0.3993
Mn4 Mn 0.0000 0.0000 0.5992
Mn5 Mn 0.0000 0.0000 0.7995
Mn6 Mn 0.3333 0.6667 0.0977
Mn7 Mn 0.3333 0.6667 0.2983
Mn8 Mn 0.3333 0.6667 0.4984
Mn9 Mn 0.3333 0.6667 0.6985
Mn10 Mn 0.3333 0.6667 0.8980
C1 C 0.6667 0.3333 0.3491
C2 C 0.6667 0.3333 0.5489
C3 C 0.6667 0.3333 0.7487
N1 N 0.6667 0.3333 0.1492
```

***

3.
# MnC4N6
Theoretical powder diffractogram, λ = 1.5418 Å (Cu Kα). Input: a structure optimized by DFT (PBE).
No peak broadening, texture or thermal motion is included.

Most intense lines, 2θ = 10–80°, by intensity:
18.47 deg, I 100
27.89 deg, I 42
16.76 deg, I 25
21.99 deg, I 21
33.25 deg, I 18
51.61 deg, I 15
37.37 deg, I 14
38.20 deg, I 13
30.36 deg, I 12
44.86 deg, I 12

Crystal structure
```
data_MnC4N6
_cell_length_a 6.262
_cell_length_b 7.443
_cell_length_c 7.521
_cell_angle_alpha 90.00
_cell_angle_beta 90.00
_cell_angle_gamma 90.00
_space_group_name_H-M_alt 'P n n m'
_space_group_IT_number 58
loop_
_space_group_symop_operation_xyz
'x,y,z'
'-x,-y,-z'
'-x,-y,z'
'x,y,-z'
'x+1/2,-y+1/2,-z+1/2'
'-x+1/2,y+1/2,z+1/2'
'-x+1/2,y+1/2,-z+1/2'
'x+1/2,-y+1/2,z+1/2'
loop_
_atom_site_label
_atom_site_type_symbol
_atom_site_fract_x
_atom_site_fract_y
_atom_site_fract_z
Mn1 Mn 0.000 0.000 0.000
C1 C 0.239 0.354 0.151
N1 N 0.173 0.286 0.000
N2 N 0.211 0.906 0.208
```

***

4.
# Rb2NaMnC6N6
Theoretical powder diffractogram, λ = 1.5418 Å (Cu Kα). Input: a structure optimized by DFT (PBE).
No peak broadening, texture or thermal motion is included.

Most intense lines, 2θ = 10–80°, by intensity:
23.30 deg, I 100
23.54 deg, I 98
33.37 deg, I 89
24.28 deg, I 45
28.05 deg, I 43
22.60 deg, I 37
37.32 deg, I 30
42.00 deg, I 26
42.41 deg, I 25
37.40 deg, I 25

Crystal structure
```
data_Rb2NaMnC6N6
_cell_length_a 7.333
_cell_length_b 7.868
_cell_length_c 12.939
_cell_angle_alpha 90.00
_cell_angle_beta 123.75
_cell_angle_gamma 90.00
_space_group_name_H-M_alt 'P 1 21/c 1'
_space_group_IT_number 14
loop_
_space_group_symop_operation_xyz
'x,y,z'
'-x,-y,-z'
'-x,y+1/2,-z+1/2'
'x,-y+1/2,z+1/2'
loop_
_atom_site_label
_atom_site_type_symbol
_atom_site_fract_x
_atom_site_fract_y
_atom_site_fract_z
Rb1 Rb 0.225 0.073 0.249
Na1 Na 0.000 0.000 0.500
Mn1 Mn 0.500 0.000 0.000
C1 C 0.248 0.137 0.966
C2 C 0.325 0.709 0.458
C3 C 0.397 0.021 0.824
N1 N 0.097 0.220 0.944
N2 N 0.218 0.667 0.933
N3 N 0.333 0.035 0.719
```

***

5.
# Mn2OsC6N6
Theoretical powder diffractogram, λ = 1.5418 Å (Cu Kα). Input: a structure optimized by DFT (PBE).
No peak broadening, texture or thermal motion is included.

Most intense lines, 2θ = 10–80°, by intensity:
21.39 deg, I 100
39.88 deg, I 34
16.82 deg, I 23
47.60 deg, I 20
29.36 deg, I 19
36.61 deg, I 18
43.73 deg, I 11
53.54 deg, I 10
62.23 deg, I 10
65.32 deg, I 9

Crystal structure
```
data_Mn2OsC6N6
_cell_length_a 6.0850
_cell_length_b 6.0850
_cell_length_c 6.7537
_cell_angle_alpha 90.00
_cell_angle_beta 90.00
_cell_angle_gamma 120.00
_space_group_name_H-M_alt 'P -3 1 m'
_space_group_IT_number 162
_space_group_name_Hall '-P 3 2'
loop_
_atom_site_label
_atom_site_type_symbol
_atom_site_fract_x
_atom_site_fract_y
_atom_site_fract_z
Mn1 Mn 0.3333 0.6667 0.0000
Os1 Os 0.0000 0.0000 0.5000
C1 C 0.0000 0.2571 0.6871
N1 N 0.0000 0.3902 0.8157
```

***

6.
# Mn12Zn4CN3
Theoretical powder diffractogram, λ = 1.5418 Å (Cu Kα). Input: a structure optimized by DFT (PBE).
No peak broadening, texture or thermal motion is included.

Most intense lines, 2θ = 10–80°, by intensity:
40.70 deg, I 100
47.07 deg, I 39
69.42 deg, I 22
47.90 deg, I 18
68.77 deg, I 11
33.08 deg, I 3
32.80 deg, I 1
58.74 deg, I 1

Crystal structure
```
data_Mn12Zn4CN3
_cell_length_a 3.861
_cell_length_b 3.861
_cell_length_c 15.193
_cell_angle_alpha 90.00
_cell_angle_beta 90.00
_cell_angle_gamma 90.00
_space_group_name_H-M_alt 'P 4/m m m'
_space_group_IT_number 123
_space_group_name_Hall '-P 4 2'
loop_
_atom_site_label
_atom_site_type_symbol
_atom_site_fract_x
_atom_site_fract_y
_atom_site_fract_z
Mn1 Mn 0.000 0.000 0.124
Mn2 Mn 0.000 0.000 0.373
Mn3 Mn 0.000 0.500 0.000
Mn4 Mn 0.000 0.500 0.249
Mn5 Mn 0.000 0.500 0.500
Zn1 Zn 0.500 0.500 0.125
Zn2 Zn 0.500 0.500 0.375
C1 C 0.000 0.000 0.500
N1 N 0.000 0.000 0.000
N2 N 0.000 0.000 0.248
```

***

7.
# MnNb4C2S4
Theoretical powder diffractogram, λ = 1.5418 Å (Cu Kα). Input: a structure optimized by DFT (PBE).
No peak broadening, texture or thermal motion is included.

Most intense lines, 2θ = 10–80°, by intensity:
10.07 deg, I 100
41.68 deg, I 55
55.08 deg, I 46
39.14 deg, I 43
35.49 deg, I 43
31.07 deg, I 42
41.32 deg, I 29
31.21 deg, I 21
39.59 deg, I 20
35.25 deg, I 19

Crystal structure
```
data_MnNb4C2S4
_cell_length_a 5.774
_cell_length_b 3.345
_cell_length_c 8.968
_cell_angle_alpha 90.00
_cell_angle_beta 101.64
_cell_angle_gamma 90.00
_space_group_name_H-M_alt 'P 1 2/m 1'
_space_group_IT_number 10
loop_
_space_group_symop_operation_xyz
'x,y,z'
'-x,-y,-z'
'-x,y,-z'
'x,-y,z'
loop_
_atom_site_label
_atom_site_type_symbol
_atom_site_fract_x
_atom_site_fract_y
_atom_site_fract_z
Mn1 Mn 0.000 0.000 0.000
Nb1 Nb 0.118 0.000 0.369
Nb2 Nb 0.367 0.500 0.629
C1 C 0.000 0.500 0.500
C2 C 0.500 0.000 0.500
S1 S 0.234 0.500 0.176
S2 S 0.273 0.000 0.823
```

***

8.
# Nd12Mn5C15
Theoretical powder diffractogram, λ = 1.5418 Å (Cu Kα). Input: a structure optimized by DFT (PBE).
No peak broadening, texture or thermal motion is included.

Most intense lines, 2θ = 10–80°, by intensity:
30.43 deg, I 100
33.82 deg, I 34
34.64 deg, I 28
49.19 deg, I 20
58.42 deg, I 16
33.24 deg, I 16
33.39 deg, I 12
48.15 deg, I 11
25.43 deg, I 10
57.66 deg, I 9

Crystal structure
```
data_Nd12Mn5C15
_cell_length_a 10.7811
_cell_length_b 10.7811
_cell_length_c 5.3001
_cell_angle_alpha 90.00
_cell_angle_beta 90.00
_cell_angle_gamma 120.00
_space_group_name_H-M_alt 'P -6 2 m'
_space_group_IT_number 189
_space_group_name_Hall 'P -6 -2'
loop_
_atom_site_label
_atom_site_type_symbol
_atom_site_fract_x
_atom_site_fract_y
_atom_site_fract_z
Nd1 Nd 0.0000 0.4240 0.0000
Nd2 Nd 0.0000 0.7930 0.0000
Nd3 Nd 0.1863 0.7290 0.5000
Mn1 Mn 0.0000 0.1535 0.5000
Mn2 Mn 0.3333 0.6667 0.0000
C1 C 0.0000 0.3211 0.5000
C2 C 0.0000 0.4460 0.5000
C3 C 0.0000 0.8077 0.5000
C4 C 0.1942 0.7115 0.0000
```